Diffraction record for La12ZrTl3. The X-ray diffraction stick pattern is calculated, not measured: it uses the GGA-PBE geometry in Alexandria and copper Kα.
Intensities are scaled so that the largest is 1000.

Most intense lines, 15° ≤ 2θ ≤ 90°, low angle first:
2θ (°)	I_rel
30.52	1000
35.14	171
35.52	335
50.82	240
51.10	120
60.20	143
60.70	283
63.53	122
82.82	116
83.26	58

Structural model:
```
16
Lattice="5.0554 0.0000 0.0000 0.0000 5.0554 0.0000 0.0000 0.0000 20.4330" Properties=species:S:1:pos:R:3 pbc="T T T"
La 0.0000 0.0000 0.0000
La 0.0000 0.0000 5.0920
La 0.0000 0.0000 10.2165
La 0.0000 0.0000 15.3410
La 0.0000 2.5277 2.5569
La 0.0000 2.5277 7.7197
La 0.0000 2.5277 12.7133
La 0.0000 2.5277 17.8761
La 2.5277 0.0000 2.5569
La 2.5277 0.0000 7.7197
La 2.5277 0.0000 12.7133
La 2.5277 0.0000 17.8761
Zr 2.5277 2.5277 10.2165
Tl 2.5277 2.5277 0.0000
Tl 2.5277 2.5277 5.0732
Tl 2.5277 2.5277 15.3598
```